Theoretical X-ray powder pattern
Compound: Na4Tm3HfTe8
Radiation: λ = 1.5418 Å (Cu Kα)
Structure: a PBE-relaxed structure
Peak positions follow from Bragg's law for the DFT cell and can differ from measured ones.

Peak list (6 most intense, 10° ≤ 2θ ≤ 90°, by angle)
2θ (°)	I/Imax
11.65	44
28.59	100
39.81	39
41.93	36
51.54	19
68.54	16

Crystal structure
a b c (Å): 9.0820 9.0820 9.0820
angles (deg): 56.65 56.65 56.65
Positions (direct):
Na  0.0000  0.0000  0.0000
Na  0.0000  0.5000  0.5000
Na  0.5000  0.0000  0.5000
Na  0.5000  0.5000  0.0000
Tm  0.0000  0.0000  0.5000
Tm  0.0000  0.5000  0.0000
Tm  0.5000  0.0000  0.0000
Hf  0.5000  0.5000  0.5000
Te  0.2440  0.2440  0.2440
Te  0.2529  0.7366  0.7366
Te  0.2634  0.2634  0.7471
Te  0.2634  0.7471  0.2634
Te  0.7366  0.2529  0.7366
Te  0.7366  0.7366  0.2529
Te  0.7471  0.2634  0.2634
Te  0.7560  0.7560  0.7560


Theoretical X-ray powder pattern
Compound: BaPuI6
Radiation: λ = 1.5418 Å (Cu Kα)
Structure: a PBE-relaxed structure
Peak positions follow from Bragg's law for the DFT cell and can differ from measured ones.

Peak list (6 most intense, 10° ≤ 2θ ≤ 90°, by angle)
2θ (°)	I/Imax
13.50	100
23.57	33
26.75	44
28.34	38
29.28	44
36.24	56

Crystal structure
a b c (Å): 8.1162 8.1162 12.1469
angles (deg): 90.61 90.61 73.73
Positions (direct):
Ba  0.0175  0.9825  0.7500
Ba  0.9825  0.0175  0.2500
Pu  0.0000  0.5000  0.0000
Pu  0.5000  0.0000  0.5000
I  0.1223  0.2053  0.5000
I  0.1327  0.5556  0.2239
I  0.2053  0.1223  0.0000
I  0.2810  0.6141  0.8973
I  0.3859  0.7190  0.6027
I  0.4444  0.8673  0.2761
I  0.5556  0.1327  0.7239
I  0.6141  0.2810  0.3973
I  0.7190  0.3859  0.1027
I  0.7947  0.8777  0.0000
I  0.8673  0.4444  0.7761
I  0.8777  0.7947  0.5000


Theoretical X-ray powder pattern
Compound: TlS5
Radiation: λ = 1.5418 Å (Cu Kα)
Structure: a PBE-relaxed structure
Peak positions follow from Bragg's law for the DFT cell and can differ from measured ones.

Peak list (6 most intense, 10° ≤ 2θ ≤ 90°, by angle)
2θ (°)	I/Imax
10.36	100
19.37	50
21.06	41
21.45	42
23.80	25
28.51	30

Crystal structure
a b c (Å): 4.5895 5.5097 8.6045
angles (deg): 95.17 92.29 112.74
Positions (direct):
Tl  0.0000  0.0000  0.0000
S  0.0139  0.5173  0.1193
S  0.2461  0.6072  0.6948
S  0.2928  0.6631  0.3168
S  0.4660  0.9995  0.7878
S  0.9710  0.5836  0.5009


Theoretical X-ray powder pattern
Compound: BaMg2In4Ga
Radiation: λ = 1.5418 Å (Cu Kα)
Structure: a PBE-relaxed structure
Peak positions follow from Bragg's law for the DFT cell and can differ from measured ones.

Peak list (6 most intense, 10° ≤ 2θ ≤ 90°, by angle)
2θ (°)	I/Imax
20.78	34
29.32	34
31.69	62
34.75	100
39.55	22
47.74	19

Crystal structure
a b c (Å): 10.1588 10.1588 10.1588
angles (deg): 29.44 29.44 29.44
Positions (direct):
Ba  0.0000  0.0000  0.0000
Mg  0.2379  0.2379  0.2379
Mg  0.7621  0.7621  0.7621
In  0.1300  0.1300  0.1300
In  0.4038  0.4038  0.4038
In  0.5962  0.5962  0.5962
In  0.8700  0.8700  0.8700
Ga  0.5000  0.5000  0.5000


Theoretical X-ray powder pattern
Compound: Bi4PtPb10
Radiation: λ = 1.5418 Å (Cu Kα)
Structure: a PBE-relaxed structure
Peak positions follow from Bragg's law for the DFT cell and can differ from measured ones.

Peak list (6 most intense, 10° ≤ 2θ ≤ 90°, by angle)
2θ (°)	I/Imax
20.48	43
33.01	52
34.11	100
47.38	16
59.66	28
61.76	17

Crystal structure
a b c (Å): 9.3084 9.3084 9.3084
angles (deg): 98.64 98.64 134.40
Positions (direct):
Bi  0.1177  0.3025  0.4202
Bi  0.3025  0.8823  0.1848
Bi  0.6975  0.1177  0.8152
Bi  0.8823  0.6975  0.5798
Pt  0.5000  0.5000  0.0000
Pb  0.0806  0.1830  0.7386
Pb  0.1830  0.4444  0.1024
Pb  0.2500  0.7500  0.5000
Pb  0.3420  0.0806  0.8976
Pb  0.4444  0.3420  0.2614
Pb  0.5556  0.6580  0.7386
Pb  0.6580  0.9194  0.1024
Pb  0.7500  0.2500  0.5000
Pb  0.8170  0.5556  0.8976
Pb  0.9194  0.8170  0.2614